1.
Theoretical powder X-ray diffraction pattern of Mg14AlNi for CuKα, from DFT lattice parameters and positions (GGA-PBE).
Peak positions follow from Bragg's law for the DFT cell and can differ from measured ones.

The 12 most intense peaks (2θ = 5–70°), by intensity:
Position (°2θ)	intensity
37.91	100
36.07	25
33.19	25
66.07	17
59.29	17
49.82	15
8.88	7
16.42	7
18.69	6
69.66	3
24.31	2
48.19	2

Structure:
abc: 6.2342 6.2342 9.9612
angles: 90.00 90.00 120.00
Fractional positions:
1 Mg 0.0000 0.0000 0.2480
2 Mg 0.0000 0.0000 0.7520
3 Mg 0.0136 0.5068 0.2591
4 Mg 0.0136 0.5068 0.7409
5 Mg 0.3283 0.1642 0.5000
6 Mg 0.3339 0.1669 0.0000
7 Mg 0.4932 0.5068 0.2591
8 Mg 0.4932 0.5068 0.7409
9 Mg 0.4932 0.9864 0.2591
10 Mg 0.4932 0.9864 0.7409
11 Mg 0.8331 0.1669 0.0000
12 Mg 0.8331 0.6661 0.0000
13 Mg 0.8358 0.1642 0.5000
14 Mg 0.8358 0.6717 0.5000
15 Al 0.3333 0.6667 0.0000
16 Ni 0.3333 0.6667 0.5000

2.
Theoretical powder X-ray diffraction pattern of Ba2DyMgSbO6 for CuKα, from DFT lattice parameters and positions (GGA-PBE).
Peak positions follow from Bragg's law for the DFT cell and can differ from measured ones.

The 12 most intense peaks (2θ = 5–70°), by intensity:
Position (°2θ)	intensity
28.18	100
28.81	39
14.19	35
49.88	21
28.97	20
58.27	19
25.06	18
40.87	17
31.73	15
37.96	13
40.60	12
24.90	9

Structure:
abc: 6.3350 6.3350 7.2610
angles: 116.26 116.26 59.95
Fractional positions:
1 Ba 0.0000 0.0000 0.0000
2 Ba 0.5974 0.5974 0.7896
3 Dy 0.2503 0.2503 0.7521
4 Mg 0.3976 0.3976 0.1844
5 Sb 0.8068 0.8068 0.4236
6 O 0.0143 0.5630 0.6026
7 O 0.0188 0.0188 0.6149
8 O 0.0427 0.4976 0.0292
9 O 0.4940 0.4940 0.0255
10 O 0.4976 0.0427 0.0292
11 O 0.5630 0.0143 0.6026

3.
Theoretical powder X-ray diffraction pattern of SrCrRh2 for CuKα, from DFT lattice parameters and positions (GGA-PBE).
Peak positions follow from Bragg's law for the DFT cell and can differ from measured ones.

The 9 most intense peaks (2θ = 5–70°), by intensity:
Position (°2θ)	intensity
38.24	100
69.14	33
55.20	17
26.79	5
23.14	2
62.39	2
47.31	1
45.18	1
60.64	1

Structure:
abc: 4.7067 4.7067 4.7067
angles: 60.00 60.00 60.00
Fractional positions:
1 Sr 0.0000 0.0000 0.0000
2 Cr 0.5000 0.5000 0.5000
3 Rh 0.2500 0.2500 0.2500
4 Rh 0.7500 0.7500 0.7500

Which formula does entry 2 have? Ba2DyMgSbO6